[1]
Theoretical XRD peak list
Compound: Be2Nb2SiRu5
Radiation: λ = 1.5418 Å (Cu Kα)
Structure: a structure optimized by DFT (PBE)
Intensities are scaled so that the largest is 100.

Most intense lines, 10° ≤ 2θ ≤ 90°, low angle first:
2theta, intensity, hkl
29.15, 23, 0 0 1
34.82, 24, 3 2 0
36.44, 69, 2 1 1
40.02, 91, 4 1 0
40.25, 22, 2 2 1
41.23, 28, 3 3 0
42.64, 100, 3 1 1
43.57, 24, 4 2 0
46.03, 36, 3 2 1
74.97, 27, 4 1 2

Atomic structure:
Cell: 9.289 9.289 3.064 Å, 90.00 90.00 90.00°
Space group P4/mbm (No. 127)
Unique sites:
Be (0.125, 0.375, 0.000) (multiplicity 4)
Nb (0.173, 0.673, 0.000) (multiplicity 4)
Si (0.000, 0.000, 0.000) (multiplicity 2)
Ru (0.000, 0.500, 0.500) (multiplicity 2)
Ru (0.068, 0.204, 0.500) (multiplicity 8)

***

[2]
Theoretical XRD peak list
Compound: BeNbS
Radiation: λ = 1.5418 Å (Cu Kα)
Structure: a structure optimized by DFT (PBE)
Intensities are scaled so that the largest is 100.

Most intense lines, 10° ≤ 2θ ≤ 90°, low angle first:
2theta, intensity, hkl
15.55, 34, 0 0 1
20.06, 84, 2 0 -1
29.25, 100, 1 1 0
31.39, 64, 0 0 2
35.78, 36, 1 1 1
39.15, 74, 1 1 -2
40.27, 76, 3 1 -1
43.48, 38, 3 1 0
47.71, 32, 4 0 -3
51.83, 44, 3 1 -3

Atomic structure:
Cell: 9.149 3.300 6.480 Å, 90.00 118.41 90.00°
Space group C2/m (No. 12)
Unique sites:
Be (0.098, 0.000, 0.472) (multiplicity 4)
Nb (0.117, 0.500, 0.806) (multiplicity 4)
S (0.182, 0.500, 0.226) (multiplicity 4)

***

[3]
Theoretical XRD peak list
Compound: Be2Nb5Sb2
Radiation: λ = 1.5418 Å (Cu Kα)
Structure: a structure optimized by DFT (PBE)
Intensities are scaled so that the largest is 100.

Most intense lines, 10° ≤ 2θ ≤ 90°, low angle first:
2theta, intensity, hkl
29.76, 50, 0 2 1
30.56, 47, 1 1 2
37.14, 74, 4 2 0
37.26, 79, 4 0 2
37.38, 100, 5 1 1
37.98, 72, 0 2 2
39.59, 47, 4 2 1
43.07, 37, 1 3 1
43.28, 38, 1 1 3
68.21, 53, 5 3 3

Atomic structure:
Cell: 13.961 6.722 6.682 Å, 90.00 90.00 90.00°
Space group Cmce (No. 64)
Unique sites:
Be (0.000, 0.115, 0.113) (multiplicity 8)
Nb (0.000, 0.000, 0.500) (multiplicity 4)
Nb (0.113, 0.171, 0.824) (multiplicity 16)
Sb (0.215, 0.000, 0.500) (multiplicity 8)

***

[4]
Theoretical XRD peak list
Compound: BeNbSe
Radiation: λ = 1.5418 Å (Cu Kα)
Structure: a structure optimized by DFT (PBE)
Intensities are scaled so that the largest is 100.

Most intense lines, 10° ≤ 2θ ≤ 90°, low angle first:
2theta, intensity, hkl
19.71, 100, 0 0 2
29.80, 38, 1 0 -1
32.23, 60, 0 1 2
33.04, 67, 0 1 -2
37.33, 58, 1 1 0
37.54, 40, 1 -1 1
39.55, 39, -1 1 1
40.02, 66, 1 1 2
43.54, 49, 1 0 -3
44.58, 42, 1 0 4

Atomic structure:
Cell: 3.414 3.460 9.137 Å, 88.60 80.57 89.98°
Space group P-1 (No. 2)
Unique sites:
Be (0.024, 0.254, 0.446) (multiplicity 2)
Nb (0.434, 0.240, 0.650) (multiplicity 2)
Se (0.132, 0.269, 0.200) (multiplicity 2)

***

[5]
Theoretical XRD peak list
Compound: ThBe2NbSi2
Radiation: λ = 1.5418 Å (Cu Kα)
Structure: a structure optimized by DFT (PBE)
Intensities are scaled so that the largest is 100.

Most intense lines, 10° ≤ 2θ ≤ 90°, low angle first:
2theta, intensity, hkl
11.52, 22, 0 0 1
23.16, 26, 0 0 2
27.23, 67, 1 0 0
29.65, 26, 1 0 1
36.04, 100, 0 1 2
48.12, 27, 1 1 0
54.06, 17, 1 1 2
55.48, 21, 1 0 4
61.56, 21, 2 0 2
81.73, 19, 1 2 2

Atomic structure:
Cell: 3.7820 3.7820 7.6796 Å, 90.00 90.00 120.00°
Space group P-3m1 (No. 164)
Unique sites:
Th (0.0000, 0.0000, 0.0000) (multiplicity 1)
Be (0.3333, 0.6667, 0.2921) (multiplicity 2)
Nb (0.0000, 0.0000, 0.5000) (multiplicity 1)
Si (0.3333, 0.6667, 0.7198) (multiplicity 2)

***

[6]
Theoretical XRD peak list
Compound: TaBe8Nb3
Radiation: λ = 1.5418 Å (Cu Kα)
Structure: a structure optimized by DFT (PBE)
Intensities are scaled so that the largest is 100.

Most intense lines, 10° ≤ 2θ ≤ 90°, low angle first:
2theta, intensity, hkl
22.10, 91, 1 0 0
23.87, 41, 0 0 2
25.16, 76, 0 1 1
32.75, 37, 0 1 2
38.78, 90, 1 1 0
42.77, 100, 0 1 3
46.05, 58, 1 1 2
46.79, 22, 2 0 1
59.09, 31, 2 0 3
72.95, 40, 1 2 3

Atomic structure:
Cell: 4.6443 4.6443 7.4562 Å, 90.00 90.00 120.00°
Space group P3m1 (No. 156)
Unique sites:
Ta (0.0000, 0.0000, 0.0000) (multiplicity 1)
Be (0.1609, 0.3219, 0.6835) (multiplicity 3)
Be (0.3333, 0.6667, 0.4329) (multiplicity 1)
Be (0.3333, 0.6667, 0.9330) (multiplicity 1)
Be (0.5055, 0.0111, 0.1816) (multiplicity 3)
Nb (0.0000, 0.0000, 0.3662) (multiplicity 1)
Nb (0.6667, 0.3333, 0.5000) (multiplicity 1)
Nb (0.6667, 0.3333, 0.8646) (multiplicity 1)

***

[7]
Theoretical XRD peak list
Compound: Ta2Be6Nb
Radiation: λ = 1.5418 Å (Cu Kα)
Structure: a structure optimized by DFT (PBE)
Intensities are scaled so that the largest is 100.

Most intense lines, 10° ≤ 2θ ≤ 90°, low angle first:
2theta, intensity, hkl
16.13, 13, 1 0 0
28.14, 100, 1 1 0
29.91, 26, 0 0 1
41.52, 83, 1 1 1
49.80, 26, 3 0 0
58.17, 13, 2 2 0
59.18, 23, 3 0 1
66.78, 20, 2 2 1
69.56, 16, 1 1 2
87.72, 20, 4 1 1

Atomic structure:
Cell: 6.3433 6.3433 2.9878 Å, 90.00 90.00 120.00°
Space group P6/mmm (No. 191)
Unique sites:
Ta (0.3333, 0.6667, 0.0000) (multiplicity 2)
Be (0.0000, 0.3336, 0.5000) (multiplicity 6)
Nb (0.0000, 0.0000, 0.0000) (multiplicity 1)

***

[8]
Theoretical XRD peak list
Compound: TbBe17Nb
Radiation: λ = 1.5418 Å (Cu Kα)
Structure: a structure optimized by DFT (PBE)
Intensities are scaled so that the largest is 100.

Most intense lines, 10° ≤ 2θ ≤ 90°, low angle first:
2theta, intensity, hkl
15.78, 72, 1 0 1
21.10, 35, 0 1 2
23.61, 100, 1 1 0
24.23, 32, 0 0 3
28.52, 23, 0 2 1
34.08, 95, 1 1 3
41.50, 33, 3 0 0
48.30, 26, 2 2 0
48.64, 47, 3 0 3
70.98, 30, 4 1 3

Atomic structure:
Cell: 7.5369 7.5369 11.0209 Å, 90.00 90.00 120.00°
Space group R3m (No. 160, hexagonal axes)
Unique sites:
Tb (0.0000, 0.0000, 0.0000) (multiplicity 3)
Be (0.0000, 0.0000, 0.5626) (multiplicity 3)
Be (0.0000, 0.0000, 0.7537) (multiplicity 3)
Be (0.0041, 0.5020, 0.1596) (multiplicity 9)
Be (0.0493, 0.3794, 0.3286) (multiplicity 18)
Be (0.1683, 0.3367, 0.1542) (multiplicity 9)
Be (0.1692, 0.3383, 0.8382) (multiplicity 9)
Nb (0.0000, 0.0000, 0.3268) (multiplicity 3)

***

[9]
Theoretical XRD peak list
Compound: Be5NbTc
Radiation: λ = 1.5418 Å (Cu Kα)
Structure: a structure optimized by DFT (PBE)
Intensities are scaled so that the largest is 100.

Most intense lines, 10° ≤ 2θ ≤ 90°, low angle first:
2theta, intensity, hkl
15.65, 56, 1 0 1
22.56, 100, 0 1 1
30.95, 44, 1 1 2
32.08, 42, 2 1 0
36.06, 86, 0 1 3
41.27, 41, 0 2 0
42.41, 47, 3 0 2
44.00, 79, 3 1 1
44.14, 30, 2 1 3
51.90, 31, 2 1 4

Atomic structure:
Cell: 7.239 4.375 9.089 Å, 90.00 90.00 90.00°
Space group Pnma (No. 62)
Unique sites:
Be (0.056, 0.250, 0.122) (multiplicity 4)
Be (0.075, 0.507, 0.318) (multiplicity 8)
Be (0.085, 0.750, 0.518) (multiplicity 4)
Be (0.184, 0.750, 0.752) (multiplicity 4)
Nb (0.247, 0.750, 0.074) (multiplicity 4)
Tc (0.117, 0.250, 0.880) (multiplicity 4)

***

[10]
Theoretical XRD peak list
Compound: Be16Nb2Tc
Radiation: λ = 1.5418 Å (Cu Kα)
Structure: a structure optimized by DFT (PBE)
Intensities are scaled so that the largest is 100.

Most intense lines, 10° ≤ 2θ ≤ 90°, low angle first:
2theta, intensity, hkl
15.79, 12, 1 0 1
21.32, 18, 0 1 2
23.44, 100, 1 1 0
34.37, 34, 1 1 3
36.02, 23, 1 0 4
41.21, 31, 3 0 0
43.43, 17, 0 2 4
47.95, 24, 2 2 0
48.68, 19, 0 3 3
49.93, 20, 2 1 4

Atomic structure:
Cell: 7.5893 7.5893 10.7788 Å, 90.00 90.00 120.00°
Space group R3m (No. 160, hexagonal axes)
Unique sites:
Be (0.0000, 0.0000, 0.0401) (multiplicity 3)
Be (0.0000, 0.2924, 0.1551) (multiplicity 18)
Be (0.0042, 0.5021, 0.6520) (multiplicity 9)
Be (0.0059, 0.5029, 0.3078) (multiplicity 9)
Be (0.1708, 0.3415, 0.3333) (multiplicity 9)
Nb (0.0000, 0.0000, 0.4920) (multiplicity 3)
Nb (0.0000, 0.0000, 0.8055) (multiplicity 3)
Tc (0.0000, 0.0000, 0.2506) (multiplicity 3)

***

[11]
Theoretical XRD peak list
Compound: Be2NbTc2
Radiation: λ = 1.5418 Å (Cu Kα)
Structure: a structure optimized by DFT (PBE)
Intensities are scaled so that the largest is 100.

Most intense lines, 10° ≤ 2θ ≤ 90°, low angle first:
2theta, intensity, hkl
31.78, 60, 2 1 0
34.90, 42, 1 1 1
40.52, 100, 2 0 1
43.09, 64, 2 1 1
45.55, 42, 3 1 0
60.63, 15, 4 1 0
68.25, 32, 4 1 1
70.09, 26, 3 3 1
77.25, 17, 3 1 2
89.38, 15, 4 1 2

Atomic structure:
Cell: 6.297 6.297 3.149 Å, 90.00 90.00 90.00°
Space group P4/mbm (No. 127)
Unique sites:
Be (0.116, 0.384, 0.000) (multiplicity 4)
Nb (0.000, 0.000, 0.000) (multiplicity 2)
Tc (0.176, 0.676, 0.500) (multiplicity 4)

***

[12]
Theoretical XRD peak list
Compound: Be2Nb5Te2
Radiation: λ = 1.5418 Å (Cu Kα)
Structure: a structure optimized by DFT (PBE)
Intensities are scaled so that the largest is 100.

Most intense lines, 10° ≤ 2θ ≤ 90°, low angle first:
2theta, intensity, hkl
30.06, 25, 0 2 1
30.63, 26, 1 1 2
36.77, 100, 4 0 2
36.93, 36, 4 2 0
38.24, 38, 0 2 2
39.41, 24, 4 2 1
43.36, 21, 1 1 3
43.54, 21, 1 3 1
43.84, 16, 5 1 2
68.15, 30, 5 3 3

Atomic structure:
Cell: 14.316 6.640 6.673 Å, 90.00 90.00 90.00°
Space group Cmce (No. 64)
Unique sites:
Be (0.000, 0.116, 0.113) (multiplicity 8)
Nb (0.000, 0.000, 0.500) (multiplicity 4)
Nb (0.111, 0.172, 0.825) (multiplicity 16)
Te (0.211, 0.000, 0.500) (multiplicity 8)